Record 1
Simulated X-ray powder pattern
Compound: Ho2MgAg2W4O16
Radiation: Cu Kα (weighted mean of Kα1 and Kα2)
Structure: a cell relaxed with PBE+U
Peak positions follow from Bragg's law for the DFT cell and can differ from measured ones.

Atomic structure:
```
Ho2MgAg2W4O16
1.0
5.272 -5.530 0.000
5.272 5.530 0.000
-4.623 0.000 5.715
Ho Mg Ag W O
2 1 2 4 16
Direct
0.215 0.785 0.000
0.785 0.215 0.000
0.500 0.500 0.000
0.171 0.171 0.536
0.829 0.829 0.464
0.253 0.253 0.025
0.341 0.659 0.500
0.659 0.341 0.500
0.747 0.747 0.975
0.029 0.029 0.845
0.135 0.398 0.239
0.203 0.718 0.657
0.210 0.449 0.907
0.282 0.797 0.343
0.398 0.135 0.239
0.449 0.210 0.907
0.494 0.494 0.669
0.506 0.506 0.331
0.551 0.790 0.093
0.602 0.865 0.761
0.718 0.203 0.657
0.790 0.551 0.093
0.797 0.282 0.343
0.865 0.602 0.761
0.971 0.971 0.155
```

Main lines, by angle (10 to 90 degrees two-theta):
| Position (°2θ) | I/Imax |
| --- | --- |
| 23.39 | 16 |
| 27.08 | 100 |
| 28.72 | 12 |
| 29.26 | 35 |
| 31.31 | 32 |
| 34.25 | 22 |
| 36.08 | 12 |
| 45.65 | 14 |
| 49.25 | 13 |
| 51.90 | 26 |

---

Record 2
Simulated X-ray powder pattern
Compound: Ho2MgAg2W4O16
Radiation: Cu Kα (weighted mean of Kα1 and Kα2)
Structure: a cell relaxed with PBE+U
Peak positions follow from Bragg's law for the DFT cell and can differ from measured ones.

Atomic structure:
```
Ho2MgAg2W4O16
1.0
7.343 0.000 0.000
-3.002 6.981 0.000
-0.871 -4.134 6.514
Ho Mg Ag W O
2 1 2 4 16
Direct
0.000 0.000 0.000
0.496 0.070 0.540
0.182 0.759 0.681
0.480 0.634 0.017
0.976 0.284 0.471
0.014 0.528 0.022
0.492 0.509 0.504
0.612 0.225 0.106
0.878 0.799 0.405
0.027 0.566 0.799
0.052 0.285 0.949
0.170 0.948 0.558
0.214 0.288 0.319
0.283 0.754 0.209
0.306 0.032 0.960
0.427 0.745 0.597
0.484 0.440 0.701
0.571 0.515 0.252
0.573 0.256 0.378
0.685 0.288 0.888
0.714 0.029 0.068
0.745 0.976 0.459
0.814 0.746 0.640
0.920 0.777 0.140
0.922 0.511 0.269
```

Main lines, by angle (10 to 90 degrees two-theta):
| Position (°2θ) | I/Imax |
| --- | --- |
| 23.75 | 66 |
| 26.21 | 39 |
| 27.38 | 100 |
| 27.89 | 50 |
| 28.25 | 82 |
| 29.34 | 41 |
| 31.82 | 97 |
| 34.09 | 57 |
| 34.61 | 63 |
| 47.11 | 41 |

---

Record 3
Simulated X-ray powder pattern
Compound: Ho2MgAg2W4O16
Radiation: Cu Kα (weighted mean of Kα1 and Kα2)
Structure: a cell relaxed with PBE+U
Peak positions follow from Bragg's law for the DFT cell and can differ from measured ones.

Atomic structure:
```
Ho2MgAg2W4O16
1.0
5.239 -5.620 0.000
5.239 5.620 0.000
-4.910 0.000 5.717
Ho Mg Ag W O
2 1 2 4 16
Direct
0.234 0.766 0.000
0.766 0.234 0.000
0.771 0.771 0.602
0.227 0.227 0.537
0.944 0.944 0.464
0.270 0.270 0.010
0.325 0.649 0.485
0.649 0.325 0.485
0.722 0.722 0.971
0.018 0.018 0.811
0.134 0.381 0.217
0.191 0.438 0.886
0.195 0.703 0.643
0.276 0.788 0.336
0.381 0.134 0.217
0.438 0.191 0.886
0.484 0.484 0.645
0.516 0.516 0.341
0.552 0.800 0.099
0.604 0.857 0.749
0.703 0.195 0.643
0.788 0.276 0.336
0.800 0.552 0.099
0.857 0.604 0.749
0.956 0.956 0.158
```

Main lines, by angle (10 to 90 degrees two-theta):
| Position (°2θ) | I/Imax |
| --- | --- |
| 16.95 | 30 |
| 23.23 | 43 |
| 26.59 | 44 |
| 27.49 | 100 |
| 28.60 | 70 |
| 31.29 | 53 |
| 34.30 | 50 |
| 40.13 | 26 |
| 48.55 | 28 |
| 50.98 | 31 |

---

Record 4
Simulated X-ray powder pattern
Compound: Ho2MgAg2W4O16
Radiation: Cu Kα (weighted mean of Kα1 and Kα2)
Structure: a cell relaxed with PBE+U
Peak positions follow from Bragg's law for the DFT cell and can differ from measured ones.

Atomic structure:
```
Ho2MgAg2W4O16
1.0
7.378 0.000 0.000
2.837 6.984 0.000
3.481 2.353 6.578
Ho Mg Ag W O
2 1 2 4 16
Direct
0.000 0.000 0.000
0.492 0.448 0.445
0.199 0.755 0.689
0.040 0.177 0.440
0.468 0.360 0.968
0.517 0.974 0.467
0.605 0.868 0.883
0.891 0.581 0.559
0.981 0.471 0.975
0.054 0.679 0.000
0.169 0.556 0.417
0.225 0.021 0.659
0.278 0.448 0.768
0.329 0.918 0.011
0.427 0.801 0.420
0.506 0.231 0.277
0.579 0.722 0.719
0.586 0.089 0.616
0.666 0.606 0.091
0.710 0.017 0.934
0.763 0.449 0.495
0.805 0.861 0.337
0.907 0.352 0.824
0.917 0.738 0.716
0.988 0.210 0.163
```

Main lines, by angle (10 to 90 degrees two-theta):
| Position (°2θ) | I/Imax |
| --- | --- |
| 17.01 | 23 |
| 23.86 | 34 |
| 27.11 | 100 |
| 27.38 | 35 |
| 27.71 | 60 |
| 28.03 | 24 |
| 31.71 | 60 |
| 34.18 | 27 |
| 34.39 | 26 |
| 49.76 | 24 |